The following is a calculated powder diffractogram of K2NiAsO4. It was derived from a structure optimized by DFT (PBE+U), using copper Kα.

Structural model:
Cell: 5.501 5.501 6.051 Å, 123.29 123.29 78.01°
Fractional coordinates of all 8 atoms:
K 0.000 0.000 0.000
K 0.751 0.249 0.500
Ni 0.251 0.749 0.500
As 0.500 0.500 0.000
O 0.229 0.515 0.071
O 0.444 0.159 0.674
O 0.485 0.771 0.929
O 0.841 0.556 0.326

Principal peaks in the range 2θ from 5° to 70°, by angle:
two_theta  Rel. int.
19.48  34.6
29.52  52.4
33.29  100.0
35.62  7.0
42.24  25.0
52.08  4.8
54.81  45.5
61.27  6.3
61.74  17.6
69.39  6.1
69.53  6.1
69.90  9.8